Record 1
# Pa3Ni7P2
Simulated powder XRD pattern, CuKα. Input: a DFT-relaxed cell (PBE, Alexandria).
Neutral-atom scattering factors, no anomalous dispersion.

```
Pa3Ni7P2
1.0
-1.902 1.902 13.259
1.902 -1.902 13.259
1.902 1.902 -13.259
Pa Ni P
3 7 2
Direct
0.000 0.000 0.000 Pa
0.204 0.204 0.000 Pa
0.796 0.796 0.000 Pa
0.122 0.622 0.500 Ni
0.312 0.312 0.000 Ni
0.378 0.878 0.500 Ni
0.500 0.500 0.000 Ni
0.622 0.122 0.500 Ni
0.688 0.688 0.000 Ni
0.878 0.378 0.500 Ni
0.421 0.421 0.000 P
0.579 0.579 0.000 P
```

Largest 10 diffraction maxima, by intensity, 2θ from 15° to 90°:
28.88 deg, intensity 100; 36.03 deg, intensity 98; 47.82 deg, intensity 63; 33.32 deg, intensity 59; 48.19 deg, intensity 56; 33.80 deg, intensity 46; 59.84 deg, intensity 35; 38.65 deg, intensity 32; 56.84 deg, intensity 32; 20.09 deg, intensity 29

***

Record 2
# Cs2Mg2F5
Simulated powder XRD pattern, CuKα. Input: a DFT-relaxed cell (PBE, Alexandria).
Neutral-atom scattering factors, no anomalous dispersion.

```
Cs2Mg2F5
1.0
6.211 -2.026 0.000
6.211 2.026 0.000
-1.841 0.000 7.671
Cs Mg F
2 2 5
Direct
0.095 0.095 0.353 Cs
0.905 0.905 0.647 Cs
0.353 0.353 0.070 Mg
0.647 0.647 0.930 Mg
0.179 0.179 0.992 F
0.407 0.407 0.318 F
0.500 0.500 0.000 F
0.593 0.593 0.682 F
0.821 0.821 0.008 F
```

Largest 10 diffraction maxima, by intensity, 2θ from 15° to 90°:
26.72 deg, intensity 100; 24.42 deg, intensity 61; 31.57 deg, intensity 49; 20.73 deg, intensity 49; 35.96 deg, intensity 38; 23.16 deg, intensity 33; 35.10 deg, intensity 33; 35.30 deg, intensity 28; 29.58 deg, intensity 27; 31.72 deg, intensity 25

***

Record 3
# SrP2Pt5
Simulated powder XRD pattern, CuKα. Input: a DFT-relaxed cell (PBE, Alexandria).
Neutral-atom scattering factors, no anomalous dispersion.

```
SrP2Pt5
1.0
4.173 0.000 0.000
0.000 6.997 0.000
0.000 0.000 9.517
Sr P Pt
2 4 10
Direct
0.000 0.000 0.000 Sr
0.500 0.500 0.500 Sr
0.000 0.500 0.247 P
0.000 0.500 0.753 P
0.500 0.000 0.253 P
0.500 0.000 0.747 P
0.000 0.202 0.348 Pt
0.000 0.202 0.652 Pt
0.000 0.500 0.000 Pt
0.000 0.798 0.348 Pt
0.000 0.798 0.652 Pt
0.500 0.000 0.500 Pt
0.500 0.298 0.152 Pt
0.500 0.298 0.848 Pt
0.500 0.702 0.152 Pt
0.500 0.702 0.848 Pt
```

Largest 10 diffraction maxima, by intensity, 2θ from 15° to 90°:
35.55 deg, intensity 100; 34.77 deg, intensity 86; 15.72 deg, intensity 38; 43.37 deg, intensity 34; 46.14 deg, intensity 33; 44.50 deg, intensity 30; 31.75 deg, intensity 24; 65.18 deg, intensity 23; 48.44 deg, intensity 19; 74.03 deg, intensity 15

***

Record 4
# Sm2Al4SiAu3
Simulated powder XRD pattern, CuKα. Input: a DFT-relaxed cell (PBE, Alexandria).
Neutral-atom scattering factors, no anomalous dispersion.

```
Sm2Al4SiAu3
1.0
4.378 0.000 0.000
0.000 4.378 0.000
0.000 0.000 10.388
Sm Al Si Au
2 4 1 3
Direct
0.000 0.500 0.243 Sm
0.500 0.000 0.757 Sm
0.000 0.000 0.500 Al
0.000 0.500 0.870 Al
0.500 0.000 0.130 Al
0.500 0.500 0.500 Al
0.500 0.500 0.000 Si
0.000 0.000 0.000 Au
0.000 0.500 0.632 Au
0.500 0.000 0.368 Au
```

Largest 10 diffraction maxima, by intensity, 2θ from 15° to 90°:
33.70 deg, intensity 100; 32.98 deg, intensity 99; 41.24 deg, intensity 80; 26.63 deg, intensity 77; 30.12 deg, intensity 53; 53.78 deg, intensity 50; 48.50 deg, intensity 46; 28.84 deg, intensity 43; 65.51 deg, intensity 37; 70.37 deg, intensity 34